Diffraction record for Ni2MoO5. The X-ray diffraction stick pattern is simulated, not measured: it uses a structure optimized by DFT (GGA+U) and λ = 1.5418 Å (Cu Kα).
Peak positions follow from Bragg's law for the DFT cell and can differ from measured ones.

Atomic structure:
abc: 8.1414 8.1416 7.5711
angles: 90.00 122.46 90.00
Space group C2/c (No. 15)
Inequivalent atoms, fractional coordinates:
1 Ni 0.0000 0.0000 0.0000 (multiplicity 4)
2 Ni 0.2500 0.2500 0.0000 (multiplicity 4)
3 Mo 0.0000 0.3757 0.2500 (multiplicity 4)
4 O 0.0000 0.1244 0.7500 (multiplicity 4)
5 O 0.0515 0.2459 0.0949 (multiplicity 8)
6 O 0.2068 0.4942 0.9020 (multiplicity 8)

Top 6 peaks for 2θ from 5° to 70°, by angle:
two_theta	intensity	index
26.00	100	1 1 -2
31.07	12	2 2 -1
35.57	30	3 1 -1
52.27	18	3 3 -3
53.37	25	4 0 0
62.36	10	1 3 3